Diffraction record for TaCoB2. The powder XRD pattern is theoretical, not measured: it uses a GGA-PBE-relaxed structure and Cu Kα X-rays.

Top 10 peaks for 10° ≤ 2θ ≤ 90°, sorted by position:
h k l	Position (°2θ)	I_rel
1 0 2	26.45	66
0 1 1	30.32	25
2 0 1	32.03	47
1 1 1	33.94	41
1 1 2	39.07	100
2 1 0	41.71	44
0 0 4	44.30	34
1 1 3	46.57	28
3 0 1	47.18	23
2 1 4	62.47	28

Atomic structure:
a = 5.9463 Å, b = 3.1606 Å, c = 8.1794 Å
α = 90.00°, β = 90.00°, γ = 90.00°
Space group Pnma (No. 62)
One atom of each set of equivalent atoms:
1 Ta 0.1386 0.2500 0.1312
2 Co 0.0087 0.7500 0.3861
3 B 0.1636 0.2500 0.8287
4 B 0.2330 0.2500 0.4228

Diffraction record for TaP4S4Cl5. The powder XRD pattern is theoretical, not measured: it uses a GGA-PBE-relaxed structure and Cu Kα X-rays.

Top 10 peaks for 10° ≤ 2θ ≤ 90°, sorted by position:
h k l	Position (°2θ)	I_rel
0 0 2	12.91	43
1 0 0	13.40	79
0 1 2	14.45	100
1 0 -1	14.69	28
1 0 1	15.09	61
1 1 2	17.43	47
0 1 -2	18.20	36
0 2 0	20.31	49
1 3 0	28.69	36
0 3 -1	32.88	34

Atomic structure:
a = 7.0865 Å, b = 9.6390 Å, c = 14.1173 Å
α = 76.37°, β = 86.89°, γ = 68.85°
Space group P-1 (No. 2)
One atom of each set of equivalent atoms:
1 Ta 0.1316 0.2632 0.3319
2 P 0.0731 0.0832 0.8355
3 P 0.1181 0.6152 0.0752
4 P 0.1185 0.5601 0.2487
5 P 0.2903 0.8235 0.1703
6 S 0.1262 0.1716 0.9520
7 S 0.1262 0.2527 0.7224
8 S 0.3514 0.7068 0.0554
9 S 0.3541 0.6243 0.2851
10 Cl 0.1128 0.6222 0.5654
11 Cl 0.1233 0.6577 0.7901
12 Cl 0.1422 0.0170 0.3844
13 Cl 0.3751 0.2190 0.2111
14 Cl 0.3829 0.2523 0.4362

Diffraction record for Mg6AlB. The powder XRD pattern is theoretical, not measured: it uses a GGA-PBE-relaxed structure and Cu Kα X-rays.

Top 10 peaks for 10° ≤ 2θ ≤ 90°, sorted by position:
h k l	Position (°2θ)	I_rel
0 0 4	34.29	15
0 2 2	34.52	21
2 0 0	36.25	40
1 0 4	38.94	45
1 2 2	39.15	100
2 2 2	50.93	13
0 2 6	61.55	16
3 2 2	67.15	19
2 2 6	73.57	18
1 4 4	75.69	11

Atomic structure:
a = 4.9561 Å, b = 5.9864 Å, c = 10.4616 Å
α = 90.00°, β = 90.00°, γ = 90.00°
Space group Amm2 (No. 38)
One atom of each set of equivalent atoms:
1 Mg 0.0000 0.0000 0.0000
2 Mg 0.0000 0.2399 0.2552
3 Mg 0.5000 0.0000 0.8323
4 Mg 0.5000 0.2462 0.5789
5 Al 0.0000 0.0000 0.4980
6 B 0.5000 0.0000 0.3316

Diffraction record for MgSnO2. The powder XRD pattern is theoretical, not measured: it uses a GGA-PBE-relaxed structure and Cu Kα X-rays.

Top 10 peaks for 10° ≤ 2θ ≤ 90°, sorted by position:
h k l	Position (°2θ)	I_rel
0 1 0	11.05	28
0 0 2	19.24	100
0 2 1	21.25	39
0 0 3	29.05	47
1 -1 0	29.29	43
1 0 2	32.22	34
0 3 0	33.61	42
-1 1 2	34.20	30
0 3 3	37.05	28
1 2 3	39.61	34

Atomic structure:
a = 3.3323 Å, b = 8.4368 Å, c = 9.7376 Å
α = 71.68°, β = 85.98°, γ = 87.71°
Space group P-1 (No. 2)
One atom of each set of equivalent atoms:
1 Mg 0.2314 0.1639 0.4834
2 Mg 0.2373 0.6259 0.2845
3 Sn 0.2227 0.6749 0.8158
4 Sn 0.4884 0.0475 0.7963
5 O 0.2443 0.2754 0.8147
6 O 0.2436 0.3841 0.3065
7 O 0.2513 0.9133 0.6404
8 O 0.2848 0.7821 0.4053

Diffraction record for HfMg14SiO16. The powder XRD pattern is theoretical, not measured: it uses a GGA-PBE-relaxed structure and Cu Kα X-rays.

Top 10 peaks for 10° ≤ 2θ ≤ 90°, sorted by position:
h k l	Position (°2θ)	I_rel
0 1 0	10.21	76
0 1 1	14.26	88
1 1 1	25.25	52
1 2 2	35.70	79
0 0 4	40.50	100
0 4 0	41.69	94
2 0 0	42.17	91
0 4 4	59.52	56
2 0 4	59.90	56
2 4 0	60.80	54

Atomic structure:
a = 4.2855 Å, b = 8.6661 Å, c = 8.9093 Å
α = 90.00°, β = 90.00°, γ = 90.00°
Space group Pmmm (No. 47)
One atom of each set of equivalent atoms:
1 Hf 0.0000 0.0000 0.0000
2 Mg 0.0000 0.0000 0.5000
3 Mg 0.0000 0.2585 0.2586
4 Mg 0.0000 0.5000 0.5000
5 Mg 0.5000 0.0000 0.2605
6 Mg 0.5000 0.2517 0.5000
7 Mg 0.5000 0.2596 0.0000
8 Mg 0.5000 0.5000 0.2586
9 Si 0.0000 0.5000 0.0000
10 O 0.0000 0.0000 0.2493
11 O 0.0000 0.2421 0.5000
12 O 0.0000 0.2432 0.0000
13 O 0.0000 0.5000 0.2809
14 O 0.5000 0.0000 0.0000
15 O 0.5000 0.0000 0.5000
16 O 0.5000 0.2498 0.2483
17 O 0.5000 0.5000 0.0000
18 O 0.5000 0.5000 0.5000

Diffraction record for RbMg6B. The powder XRD pattern is theoretical, not measured: it uses a GGA-PBE-relaxed structure and Cu Kα X-rays.

Top 10 peaks for 10° ≤ 2θ ≤ 90°, sorted by position:
h k l	Position (°2θ)	I_rel
0 1 1	12.14	52
0 1 3	21.33	34
0 2 2	24.43	50
1 0 2	28.85	92
0 3 1	32.36	42
0 2 4	32.72	44
0 1 5	32.93	36
1 2 2	35.99	100
1 0 4	36.25	32
1 3 3	45.79	31

Atomic structure:
a = 3.4242 Å, b = 8.4591 Å, c = 14.3613 Å
α = 90.00°, β = 90.00°, γ = 90.00°
Space group Amm2 (No. 38)
One atom of each set of equivalent atoms:
1 Rb 0.0000 0.0000 0.0000
2 Mg 0.0000 0.0000 0.4521
3 Mg 0.0000 0.1842 0.7885
4 Mg 0.5000 0.0000 0.2555
5 Mg 0.5000 0.1678 0.6207
6 B 0.5000 0.0000 0.7575

Q: Number 3 is which compound?
A: Mg6AlB

Q: Which formula does entry 3 have?
A: Mg6AlB